[1]
Diffraction record for GdYCl2O2. The XRD peak list is computed, not measured: it uses a cell relaxed with GGA-PBE and Cu Kα (weighted mean of Kα1 and Kα2).
Neutral-atom scattering factors, no anomalous dispersion.

Most intense lines, 2θ = 10–90°, low angle first:
13.24 deg, I 45; 26.36 deg, I 73; 32.31 deg, I 65; 35.29 deg, I 100; 42.37 deg, I 23; 46.34 deg, I 34; 52.71 deg, I 20; 54.10 deg, I 22; 59.56 deg, I 41; 60.20 deg, I 14

Lattice parameters (Å, degrees): 3.9187 3.9187 6.6846 90.00 90.00 90.00
Element x y z (fractional)
Gd 0.0000 0.0000 0.0000
Y 0.5000 0.5000 0.3393
Cl 0.0000 0.0000 0.5436
Cl 0.5000 0.5000 0.8001
O 0.0000 0.5000 0.1727
O 0.5000 0.0000 0.1727

[2]
Diffraction record for Pr2Gd2SiCl5. The XRD peak list is computed, not measured: it uses a cell relaxed with GGA-PBE and Cu Kα (weighted mean of Kα1 and Kα2).
Neutral-atom scattering factors, no anomalous dispersion.

Most intense lines, 2θ = 10–90°, low angle first:
10.12 deg, I 26; 10.62 deg, I 94; 16.17 deg, I 21; 20.86 deg, I 18; 25.55 deg, I 18; 26.81 deg, I 30; 30.45 deg, I 100; 30.67 deg, I 46; 43.32 deg, I 37; 44.21 deg, I 31

Lattice parameters (Å, degrees): 9.1713 9.1713 8.5249 101.87 101.87 25.51
Element x y z (fractional)
Pr 0.0017 0.0017 0.2680
Pr 0.9983 0.9983 0.7320
Gd 0.3464 0.3464 0.4183
Gd 0.6536 0.6536 0.5817
Si 0.5000 0.5000 0.5000
Cl 0.1677 0.1677 0.8058
Cl 0.1766 0.1766 0.3641
Cl 0.5000 0.5000 0.0000
Cl 0.8234 0.8234 0.6359
Cl 0.8323 0.8323 0.1942

[3]
Diffraction record for PrSmGeCl2. The XRD peak list is computed, not measured: it uses a cell relaxed with GGA-PBE and Cu Kα (weighted mean of Kα1 and Kα2).
Neutral-atom scattering factors, no anomalous dispersion.

Most intense lines, 2θ = 10–90°, low angle first:
25.91 deg, I 42; 30.36 deg, I 100; 36.70 deg, I 21; 42.69 deg, I 37; 44.25 deg, I 36; 53.28 deg, I 20; 63.17 deg, I 12; 70.55 deg, I 17; 72.81 deg, I 14; 79.26 deg, I 13

Lattice parameters (Å, degrees): 4.2362 4.2362 9.8665 90.00 90.00 120.00
Element x y z (fractional)
Pr 0.0000 0.0000 0.0000
Sm 0.3333 0.6667 0.6574
Ge 0.6667 0.3333 0.8255
Cl 0.0000 0.0000 0.5013
Cl 0.3333 0.6667 0.1632

[4]
Diffraction record for PrTmGeCl2. The XRD peak list is computed, not measured: it uses a cell relaxed with GGA-PBE and Cu Kα (weighted mean of Kα1 and Kα2).
Neutral-atom scattering factors, no anomalous dispersion.

Most intense lines, 2θ = 10–90°, low angle first:
26.42 deg, I 43; 30.91 deg, I 100; 37.33 deg, I 21; 43.58 deg, I 36; 44.61 deg, I 13; 44.98 deg, I 36; 54.38 deg, I 20; 72.13 deg, I 17; 74.18 deg, I 14; 81.01 deg, I 13

Lattice parameters (Å, degrees): 4.1537 4.1537 9.7317 90.00 90.00 120.00
Element x y z (fractional)
Pr 0.0000 0.0000 0.0000
Tm 0.3333 0.6667 0.6621
Ge 0.6667 0.3333 0.8220
Cl 0.0000 0.0000 0.5097
Cl 0.3333 0.6667 0.1704

[5]
Diffraction record for Zn3Ge3Cl2. The XRD peak list is computed, not measured: it uses a cell relaxed with GGA-PBE and Cu Kα (weighted mean of Kα1 and Kα2).
Neutral-atom scattering factors, no anomalous dispersion.

Most intense lines, 2θ = 10–90°, low angle first:
26.35 deg, I 30; 31.71 deg, I 36; 33.78 deg, I 73; 34.82 deg, I 100; 39.94 deg, I 40; 41.42 deg, I 58; 43.14 deg, I 32; 46.73 deg, I 43; 48.52 deg, I 36; 53.59 deg, I 30

Lattice parameters (Å, degrees): 4.2836 3.3810 11.2890 90.00 91.03 90.00
Element x y z (fractional)
Zn 0.0000 0.0000 0.0000
Zn 0.3523 0.5000 0.2435
Zn 0.6477 0.5000 0.7565
Ge 0.1878 0.0000 0.7987
Ge 0.5000 0.5000 0.0000
Ge 0.8122 0.0000 0.2013
Cl 0.2300 0.0000 0.3923
Cl 0.7700 0.0000 0.6077

[6]
Diffraction record for HoHICl. The XRD peak list is computed, not measured: it uses a cell relaxed with GGA-PBE and Cu Kα (weighted mean of Kα1 and Kα2).
Neutral-atom scattering factors, no anomalous dispersion.

Most intense lines, 2θ = 10–90°, low angle first:
11.82 deg, I 98; 27.41 deg, I 39; 29.33 deg, I 84; 32.29 deg, I 29; 36.06 deg, I 100; 47.23 deg, I 37; 48.86 deg, I 18; 60.80 deg, I 38; 70.13 deg, I 18; 80.43 deg, I 17

Lattice parameters (Å, degrees): 3.8489 3.8489 14.9780 90.00 90.00 120.00
Element x y z (fractional)
Ho 0.0000 0.0000 0.0000
Ho 0.0000 0.0000 0.5000
H 0.3333 0.6667 0.4960
H 0.6667 0.3333 0.9960
I 0.3333 0.6667 0.8559
I 0.6667 0.3333 0.3559
Cl 0.3333 0.6667 0.1126
Cl 0.6667 0.3333 0.6126

[7]
Diffraction record for HoH4NCl4. The XRD peak list is computed, not measured: it uses a cell relaxed with GGA-PBE and Cu Kα (weighted mean of Kα1 and Kα2).
Neutral-atom scattering factors, no anomalous dispersion.

Most intense lines, 2θ = 10–90°, low angle first:
13.73 deg, I 100; 21.24 deg, I 97; 21.87 deg, I 30; 28.49 deg, I 29; 33.33 deg, I 22; 34.85 deg, I 56; 35.42 deg, I 27; 41.52 deg, I 17; 41.67 deg, I 28; 55.01 deg, I 16

Lattice parameters (Å, degrees): 8.9714 8.9714 8.9714 132.91 132.91 68.80
Element x y z (fractional)
Ho 0.3750 0.1250 0.2500
Ho 0.6250 0.8750 0.7500
H 0.0256 0.6243 0.3191
H 0.1243 0.3052 0.5987
H 0.1948 0.2935 0.8191
H 0.2065 0.5256 0.9013
H 0.7935 0.4744 0.0987
H 0.8052 0.7065 0.1809
H 0.8757 0.6948 0.4013
H 0.9744 0.3757 0.6809
N 0.1250 0.3750 0.7500
N 0.8750 0.6250 0.2500
Cl 0.0963 0.8012 0.8398
Cl 0.2435 0.4037 0.2049
Cl 0.3012 0.9614 0.7049
Cl 0.4614 0.2565 0.6602
Cl 0.5386 0.7435 0.3398
Cl 0.6988 0.0386 0.2951
Cl 0.7565 0.5963 0.7951
Cl 0.9037 0.1988 0.1602

[8]
Diffraction record for Nd2H2ICl3. The XRD peak list is computed, not measured: it uses a cell relaxed with GGA-PBE and Cu Kα (weighted mean of Kα1 and Kα2).
Neutral-atom scattering factors, no anomalous dispersion.

Most intense lines, 2θ = 10–90°, low angle first:
12.19 deg, I 92; 25.86 deg, I 22; 26.59 deg, I 30; 28.68 deg, I 100; 31.88 deg, I 25; 35.93 deg, I 88; 45.60 deg, I 38; 45.81 deg, I 19; 47.38 deg, I 19; 59.38 deg, I 20

Lattice parameters (Å, degrees): 3.9786 3.9786 14.5230 90.00 90.00 120.00
Element x y z (fractional)
Nd 0.0000 0.0000 0.0000
Nd 0.0000 0.0000 0.4886
H 0.3333 0.6667 0.9955
H 0.6667 0.3333 0.4893
I 0.6667 0.3333 0.8467
Cl 0.3333 0.6667 0.3670
Cl 0.3333 0.6667 0.6104
Cl 0.6667 0.3333 0.1197